# 1
ZnRuSe: simulated powder X-ray diffraction pattern (Cu Kα X-rays), based on a DFT-relaxed cell (PBE, Alexandria).
Kinematic intensities with the Lorentz-polarization factor, no thermal factor.

Structural model:
a b c (Å): 3.2700 3.2700 5.8727
angles (deg): 90.00 90.00 120.00
Positions (direct):
Zn: 0.0000 0.0000 0.0000
Ru: 0.6667 0.3333 0.3149
Se: 0.3333 0.6667 0.5675

Top 8 peaks for 2θ from 15° to 90°, in order of rising 2θ:
d_spacing  2theta  I/Imax
5.873  15.09  26
2.551  35.18  100
2.038  44.44  53
1.635  56.26  27
1.610  57.21  13
1.377  68.12  14
1.275  74.38  11
1.255  75.81  11



# 2
Si3Ru2: simulated powder X-ray diffraction pattern (Cu Kα X-rays), based on a DFT-relaxed cell (PBE, Alexandria).
Kinematic intensities with the Lorentz-polarization factor, no thermal factor.

Structural model:
a b c (Å): 5.5981 5.5981 8.9266
angles (deg): 90.00 90.00 90.00
Positions (direct):
Si: 0.1444 0.2930 0.4093
Si: 0.1444 0.7070 0.9093
Si: 0.2930 0.1444 0.0907
Si: 0.2930 0.8556 0.5907
Si: 0.3295 0.3295 0.7500
Si: 0.3295 0.6705 0.2500
Si: 0.6705 0.3295 0.2500
Si: 0.6705 0.6705 0.7500
Si: 0.7070 0.1444 0.5907
Si: 0.7070 0.8556 0.0907
Si: 0.8556 0.2930 0.9093
Si: 0.8556 0.7070 0.4093
Ru: 0.0000 0.0000 0.2500
Ru: 0.0000 0.0000 0.7500
Ru: 0.0000 0.5000 0.1276
Ru: 0.0000 0.5000 0.6276
Ru: 0.5000 0.0000 0.3724
Ru: 0.5000 0.0000 0.8724
Ru: 0.5000 0.5000 0.0000
Ru: 0.5000 0.5000 0.5000

Top 8 peaks for 2θ from 15° to 90°, in order of rising 2θ:
d_spacing  2theta  I/Imax
3.490  25.52  91
2.799  31.97  47
2.183  41.35  100
1.979  45.85  34
1.944  46.73  61
1.722  53.20  33
1.387  67.54  27
1.252  76.03  16



# 3
SiRu: simulated powder X-ray diffraction pattern (Cu Kα X-rays), based on a DFT-relaxed cell (PBE, Alexandria).
Kinematic intensities with the Lorentz-polarization factor, no thermal factor.

Structural model:
a b c (Å): 2.9364 2.9364 2.9364
angles (deg): 90.00 90.00 90.00
Positions (direct):
Si: 0.0000 0.0000 0.0000
Ru: 0.5000 0.5000 0.5000

Top 6 peaks for 2θ from 15° to 90°, in order of rising 2θ:
d_spacing  2theta  I/Imax
2.936  30.44  44
2.076  43.59  100
1.695  54.10  11
1.468  63.35  16
1.313  71.90  14
1.199  80.04  33



# 4
Si6Ru7: simulated powder X-ray diffraction pattern (Cu Kα X-rays), based on a DFT-relaxed cell (PBE, Alexandria).
Kinematic intensities with the Lorentz-polarization factor, no thermal factor.

Structural model:
a b c (Å): 8.5178 8.5178 8.5178
angles (deg): 36.18 36.18 36.18
Positions (direct):
Si: 0.0547 0.0547 0.0547
Si: 0.1675 0.1675 0.1675
Si: 0.3346 0.3346 0.3346
Si: 0.6654 0.6654 0.6654
Si: 0.8325 0.8325 0.8325
Si: 0.9453 0.9453 0.9453
Ru: 0.0770 0.5820 0.5820
Ru: 0.4180 0.4180 0.9230
Ru: 0.4180 0.9230 0.4180
Ru: 0.5000 0.5000 0.5000
Ru: 0.5820 0.0770 0.5820
Ru: 0.5820 0.5820 0.0770
Ru: 0.9230 0.4180 0.4180

Top 8 peaks for 2θ from 15° to 90°, in order of rising 2θ:
d_spacing  2theta  I/Imax
4.499  19.73  100
3.976  22.36  88
2.280  39.52  79
2.249  40.09  55
2.202  40.99  92
2.065  43.85  91
1.901  47.85  97
1.101  88.88  55



# 5
Si3Ru2: simulated powder X-ray diffraction pattern (Cu Kα X-rays), based on a DFT-relaxed cell (PBE, Alexandria).
Kinematic intensities with the Lorentz-polarization factor, no thermal factor.

Structural model:
a b c (Å): 11.1340 9.0045 5.5691
angles (deg): 90.00 90.00 90.00
Positions (direct):
Si: 0.0734 0.2073 0.0557
Si: 0.0734 0.7927 0.5557
Si: 0.1309 0.3938 0.6046
Si: 0.1309 0.6062 0.1046
Si: 0.1800 0.0633 0.4121
Si: 0.1800 0.9367 0.9121
Si: 0.3200 0.4367 0.9121
Si: 0.3200 0.5633 0.4121
Si: 0.3691 0.1062 0.1046
Si: 0.3691 0.8938 0.6046
Si: 0.4266 0.2927 0.5557
Si: 0.4266 0.7073 0.0557
Si: 0.5734 0.2927 0.9443
Si: 0.5734 0.7073 0.4443
Si: 0.6309 0.1062 0.3954
Si: 0.6309 0.8938 0.8954
Si: 0.6800 0.4367 0.5879
Si: 0.6800 0.5633 0.0879
Si: 0.8200 0.0633 0.0879
Si: 0.8200 0.9367 0.5879
Si: 0.8691 0.3938 0.8954
Si: 0.8691 0.6062 0.3954
Si: 0.9266 0.2073 0.4443
Si: 0.9266 0.7927 0.9443
Ru: 0.0000 0.0407 0.7500
Ru: 0.0000 0.4249 0.2500
Ru: 0.0000 0.5751 0.7500
Ru: 0.0000 0.9593 0.2500
Ru: 0.2459 0.1874 0.7630
Ru: 0.2459 0.8126 0.2630
Ru: 0.2541 0.3126 0.2630
Ru: 0.2541 0.6874 0.7630
Ru: 0.5000 0.0751 0.7500
Ru: 0.5000 0.4593 0.2500
Ru: 0.5000 0.5407 0.7500
Ru: 0.5000 0.9249 0.2500
Ru: 0.7459 0.3126 0.2370
Ru: 0.7459 0.6874 0.7370
Ru: 0.7541 0.1874 0.7370
Ru: 0.7541 0.8126 0.2370

Top 8 peaks for 2θ from 15° to 90°, in order of rising 2θ:
d_spacing  2theta  I/Imax
3.501  25.44  91
2.784  32.15  52
2.179  41.44  100
1.969  46.11  34
1.954  46.47  61
1.716  53.39  33
1.387  67.54  24
1.245  76.51  16



# 6
Si3Ru: simulated powder X-ray diffraction pattern (Cu Kα X-rays), based on a DFT-relaxed cell (PBE, Alexandria).
Kinematic intensities with the Lorentz-polarization factor, no thermal factor.

Structural model:
a b c (Å): 5.9938 6.6265 6.0929
angles (deg): 90.00 90.00 90.00
Positions (direct):
Si: 0.0811 0.2500 0.1203
Si: 0.1471 0.5760 0.3531
Si: 0.1471 0.9240 0.3531
Si: 0.3529 0.0760 0.8531
Si: 0.3529 0.4240 0.8531
Si: 0.4189 0.7500 0.6203
Si: 0.5811 0.2500 0.3797
Si: 0.6471 0.5760 0.1469
Si: 0.6471 0.9240 0.1469
Si: 0.8529 0.0760 0.6469
Si: 0.8529 0.4240 0.6469
Si: 0.9189 0.7500 0.8797
Ru: 0.2084 0.2500 0.5114
Ru: 0.2916 0.7500 0.0114
Ru: 0.7084 0.2500 0.9886
Ru: 0.7916 0.7500 0.4886

Top 8 peaks for 2θ from 15° to 90°, in order of rising 2θ:
d_spacing  2theta  I/Imax
3.591  24.79  100
3.313  26.91  34
3.046  29.32  22
2.997  29.81  22
2.243  40.21  30
1.962  46.27  42
1.847  49.33  41
1.825  49.97  24